For PaInGaO, the GGA-PBE geometry in Alexandria gives the calculated powder X-ray diffraction pattern in this record (Cu Kα (weighted mean of Kα1 and Kα2)).
Lines closer than 0.1° are merged.

Largest 10 diffraction maxima, in order of rising 2θ, 2θ from 10° to 90°:
| h k l | 2theta | intensity |
| --- | --- | --- |
| 1 0 1 | 23.8 | 282 |
| 1 0 2 | 29.8 | 1000 |
| 0 0 3 | 30.7 | 256 |
| 1 1 1 | 32.3 | 720 |
| 1 1 2 | 37.0 | 549 |
| 1 0 3 | 37.8 | 269 |
| 2 0 0 | 43.8 | 541 |
| 1 1 4 | 52.3 | 284 |
| 2 1 2 | 53.8 | 394 |
| 2 0 3 | 54.4 | 214 |

Cell and atoms:
```
data_PaInGaO
_cell_length_a 4.1368
_cell_length_b 4.1368
_cell_length_c 8.7235
_cell_angle_alpha 90.00
_cell_angle_beta 90.00
_cell_angle_gamma 90.00
_space_group_name_H-M_alt 'P 4/n m m'
_space_group_IT_number 129
loop_
_space_group_symop_operation_xyz
'x,y,z'
'-x,-y,-z'
'-y+1/2,x,z'
'y+1/2,-x,-z'
'-x+1/2,-y+1/2,z'
'x+1/2,y+1/2,-z'
'y,-x+1/2,z'
'-y,x+1/2,-z'
'x+1/2,-y,-z'
'-x+1/2,y,z'
'-y,-x,-z'
'y,x,z'
'-x,y+1/2,-z'
'x,-y+1/2,z'
'y+1/2,x+1/2,-z'
'-y+1/2,-x+1/2,z'
loop_
_atom_site_label
_atom_site_type_symbol
_atom_site_fract_x
_atom_site_fract_y
_atom_site_fract_z
_atom_site_occupancy
Pa1 Pa 0.2500 0.2500 0.1393 1
In1 In 0.2500 0.7500 0.5000 1
Ga1 Ga 0.2500 0.2500 0.7227 1
O1 O 0.2500 0.7500 0.0000 1
```